Computed powder diffractogram
Compound: V2RuF
Radiation: CuKα
Structure: the PBE+U geometry in Alexandria
Lines closer than 0.1° are merged.

Structural model:
Lattice parameters (Å, degrees): 6.112 6.112 6.592 90.00 90.00 90.00
Space group I-42d (No. 122)
Inequivalent atoms, fractional coordinates:
V 0.200 0.250 0.125 x8
Ru 0.000 0.000 0.500 x4
F 0.000 0.000 0.000 x4

Main lines, in order of falling intensity (10° ≤ 2θ ≤ 90°):
Position (°2θ), d [Å], intensity, (hkl)
34.21, 2.621, 100, 1 1 2
41.80, 2.161, 48, 2 2 0
35.55, 2.525, 48, 2 1 1
55.08, 1.667, 41, 3 1 2
19.81, 4.482, 30, 1 0 1
64.21, 1.451, 27, 2 0 4
46.66, 1.947, 17, 3 0 1
60.60, 1.528, 13, 4 0 0
43.78, 2.068, 11, 1 0 3
70.11, 1.342, 10, 3 2 3
86.36, 1.127, 9, 5 1 2
79.79, 1.202, 8, 4 3 1